Entry 1:
Simulated XRD peak list
Compound: HgPt4
Radiation: λ = 1.5418 Å (Cu Kα)
Structure: a PBE-relaxed structure
Peak positions follow from Bragg's law for the DFT cell and can differ from measured ones.

Most intense lines, 5° ≤ 2θ ≤ 70°, sorted by position:
- 2θ = 7.8°, intensity 1
- 2θ = 31.4°, intensity 1
- 2θ = 38.1°, intensity 100
- 2θ = 39.5°, intensity 29
- 2θ = 44.7°, intensity 63
- 2θ = 50.2°, intensity 1
- 2θ = 58.7°, intensity 1
- 2θ = 64.1°, intensity 22
- 2θ = 66.0°, intensity 19

Crystal structure
Cell lengths 11.5270, 11.5270, 11.5270 Å; angles 14.48, 14.48, 14.48 degrees
Positions (direct):
Hg 0.0000 0.0000 0.0000
Pt 0.1987 0.1987 0.1987
Pt 0.4030 0.4030 0.4030
Pt 0.5970 0.5970 0.5970
Pt 0.8013 0.8013 0.8013

---

Entry 2:
Simulated XRD peak list
Compound: HgPt3
Radiation: λ = 1.5418 Å (Cu Kα)
Structure: a PBE-relaxed structure
Peak positions follow from Bragg's law for the DFT cell and can differ from measured ones.

Most intense lines, 5° ≤ 2θ ≤ 70°, sorted by position:
- 2θ = 11.2°, intensity 1
- 2θ = 34.0°, intensity 1
- 2θ = 38.2°, intensity 100
- 2θ = 43.6°, intensity 18
- 2θ = 43.8°, intensity 17
- 2θ = 45.9°, intensity 14
- 2θ = 46.3°, intensity 1
- 2θ = 63.5°, intensity 12
- 2θ = 65.2°, intensity 10
- 2θ = 65.3°, intensity 10
- 2θ = 67.3°, intensity 1

Crystal structure
Cell lengths 2.9296, 2.9296, 7.9056 Å; angles 90.00, 90.00, 90.17 degrees
Positions (direct):
Hg 0.0000 0.0000 0.0000
Pt 0.0000 0.0000 0.5000
Pt 0.5000 0.5000 0.2636
Pt 0.5000 0.5000 0.7364

---

Entry 3:
Simulated XRD peak list
Compound: HgPt2Se3
Radiation: λ = 1.5418 Å (Cu Kα)
Structure: a PBE-relaxed structure
Peak positions follow from Bragg's law for the DFT cell and can differ from measured ones.

Most intense lines, 5° ≤ 2θ ≤ 70°, sorted by position:
- 2θ = 16.1°, intensity 26
- 2θ = 21.1°, intensity 8
- 2θ = 27.3°, intensity 6
- 2θ = 28.7°, intensity 7
- 2θ = 31.8°, intensity 100
- 2θ = 35.4°, intensity 8
- 2θ = 42.9°, intensity 44
- 2θ = 48.2°, intensity 36
- 2θ = 51.1°, intensity 8
- 2θ = 57.6°, intensity 8
- 2θ = 58.9°, intensity 17
- 2θ = 66.5°, intensity 12

Crystal structure
Cell lengths 7.5559, 7.5559, 5.5045 Å; angles 90.00, 90.00, 120.00 degrees
Positions (direct):
Hg 0.3333 0.6667 0.1544
Hg 0.6667 0.3333 0.8456
Pt 0.0000 0.0000 0.5000
Pt 0.0000 0.5000 0.5000
Pt 0.5000 0.0000 0.5000
Pt 0.5000 0.5000 0.5000
Se 0.1712 0.3425 0.7284
Se 0.1712 0.8288 0.7284
Se 0.3425 0.1712 0.2716
Se 0.6575 0.8288 0.7284
Se 0.8288 0.1712 0.2716
Se 0.8288 0.6575 0.2716

---

Entry 4:
Simulated XRD peak list
Compound: Pu2HgSb
Radiation: λ = 1.5418 Å (Cu Kα)
Structure: a PBE-relaxed structure
Peak positions follow from Bragg's law for the DFT cell and can differ from measured ones.

Most intense lines, 5° ≤ 2θ ≤ 70°, sorted by position:
- 2θ = 20.4°, intensity 2
- 2θ = 23.6°, intensity 4
- 2θ = 33.6°, intensity 100
- 2θ = 39.6°, intensity 1
- 2θ = 41.4°, intensity 1
- 2θ = 48.2°, intensity 18
- 2θ = 52.8°, intensity 1
- 2θ = 54.3°, intensity 2
- 2θ = 60.0°, intensity 39

Crystal structure
Cell lengths 5.3395, 5.3395, 5.3395 Å; angles 60.00, 60.00, 60.00 degrees
Positions (direct):
Pu 0.2500 0.2500 0.2500
Pu 0.7500 0.7500 0.7500
Hg 0.0000 0.0000 0.0000
Sb 0.5000 0.5000 0.5000